# FeCoSn
Theoretical X-ray powder pattern, CuKα. Input: DFT lattice parameters and positions (PBE).
Intensities are scaled so that the largest is 100.

Peak list (10 most intense, 2θ = 10–90°, most intense first)
2θ/deg	Rel. int.
42.02	100
42.43	75
77.06	24
55.48	24
61.25	24
87.83	24
29.51	23
76.77	16
34.54	15
86.99	8

Cell lengths 4.301, 4.301, 5.194 Å; angles 90.00, 90.00, 120.00 degrees
Sites, in units of the cell vectors:
Fe 0.000 0.000 0.000
Fe 0.000 0.000 0.500
Co 0.333 0.667 0.250
Co 0.667 0.333 0.750
Sn 0.333 0.667 0.750
Sn 0.667 0.333 0.250

---

# NdH2ClO2
Theoretical X-ray powder pattern, CuKα. Input: DFT lattice parameters and positions (PBE).
Intensities are scaled so that the largest is 100.

Peak list (10 most intense, 2θ = 10–90°, most intense first)
2θ/deg	Rel. int.
13.93	100
28.13	96
36.48	74
24.38	62
27.55	50
26.84	45
16.23	45
40.33	41
26.28	40
38.62	38

Cell lengths 6.301, 3.896, 6.886 Å; angles 90.00, 112.56, 90.00 degrees
Sites, in units of the cell vectors:
Nd 0.191 0.250 0.367
Nd 0.809 0.750 0.633
H 0.192 0.250 0.805
H 0.383 0.750 0.716
H 0.617 0.250 0.284
H 0.808 0.750 0.195
Cl 0.250 0.750 0.056
Cl 0.750 0.250 0.944
O 0.071 0.250 0.664
O 0.399 0.750 0.581
O 0.601 0.250 0.419
O 0.929 0.750 0.336

---

# Mg17Al11Au
Theoretical X-ray powder pattern, CuKα. Input: DFT lattice parameters and positions (PBE).
Intensities are scaled so that the largest is 100.

Peak list (10 most intense, 2θ = 10–90°, most intense first)
2θ/deg	Rel. int.
36.23	100
11.97	75
11.88	66
20.83	48
20.63	44
36.31	35
36.49	33
16.90	33
40.49	28
23.98	25

Cell lengths 9.039, 9.039, 9.123 Å; angles 109.46, 109.46, 108.90 degrees
Sites, in units of the cell vectors:
Mg 0.000 0.000 0.000
Mg 0.025 0.025 0.628
Mg 0.027 0.631 0.025
Mg 0.051 0.740 0.735
Mg 0.340 0.340 0.683
Mg 0.342 0.659 0.942
Mg 0.343 0.343 0.343
Mg 0.343 0.946 0.657
Mg 0.344 0.686 0.342
Mg 0.631 0.027 0.025
Mg 0.659 0.342 0.942
Mg 0.660 0.942 0.341
Mg 0.686 0.344 0.342
Mg 0.737 0.737 0.048
Mg 0.740 0.051 0.735
Mg 0.942 0.660 0.341
Mg 0.946 0.343 0.657
Al 0.158 0.344 0.975
Al 0.158 0.976 0.341
Al 0.162 0.528 0.527
Al 0.342 0.977 0.157
Al 0.344 0.158 0.975
Al 0.525 0.710 0.705
Al 0.528 0.162 0.527
Al 0.528 0.528 0.159
Al 0.710 0.525 0.705
Al 0.976 0.158 0.341
Al 0.977 0.342 0.157
Au 0.711 0.711 0.516

---

# ZrTe3
Theoretical X-ray powder pattern, CuKα. Input: DFT lattice parameters and positions (PBE).
Intensities are scaled so that the largest is 100.

Peak list (10 most intense, 2θ = 10–90°, most intense first)
2θ/deg	Rel. int.
28.42	100
32.31	34
38.06	31
32.91	30
25.82	22
45.95	22
37.88	21
57.29	14
49.56	13
39.74	13

Cell lengths 5.987, 3.950, 10.427 Å; angles 90.00, 96.85, 90.00 degrees
Sites, in units of the cell vectors:
Zr 0.217 0.250 0.337
Zr 0.783 0.750 0.663
Te 0.057 0.250 0.825
Te 0.262 0.750 0.555
Te 0.418 0.750 0.172
Te 0.582 0.250 0.828
Te 0.738 0.250 0.445
Te 0.943 0.750 0.175

---

# AgPb2Cl3OF
Theoretical X-ray powder pattern, CuKα. Input: DFT lattice parameters and positions (PBE).
Intensities are scaled so that the largest is 100.

Peak list (10 most intense, 2θ = 10–90°, most intense first)
2θ/deg	Rel. int.
32.47	100
27.10	52
35.36	49
24.90	47
21.47	45
48.88	35
20.58	32
35.50	28
45.27	26
37.63	25

Cell lengths 10.153, 10.153, 10.153 Å; angles 120.25, 120.25, 89.56 degrees
Sites, in units of the cell vectors:
Ag 0.249 0.000 0.249
Ag 0.750 0.001 0.251
Ag 0.750 0.499 0.749
Ag 0.751 0.000 0.751
Pb 0.028 0.720 0.308
Pb 0.037 0.350 0.312
Pb 0.037 0.725 0.688
Pb 0.100 0.287 0.812
Pb 0.412 0.720 0.692
Pb 0.470 0.278 0.808
Pb 0.470 0.662 0.192
Pb 0.475 0.287 0.188
Cl 0.068 0.068 0.000
Cl 0.076 0.074 0.403
Cl 0.076 0.672 0.001
Cl 0.422 0.326 0.501
Cl 0.422 0.921 0.097
Cl 0.431 0.931 0.500
Cl 0.671 0.074 0.999
Cl 0.671 0.672 0.597
Cl 0.681 0.681 0.000
Cl 0.818 0.318 0.500
Cl 0.824 0.326 0.903
Cl 0.824 0.921 0.499
O 0.192 0.574 0.382
O 0.192 0.810 0.618
O 0.324 0.442 0.882
O 0.560 0.442 0.118
F 0.188 0.543 0.645
F 0.293 0.148 0.855
F 0.293 0.438 0.145
F 0.898 0.543 0.355

---

# MgTe4Mo2W2Se2S2
Theoretical X-ray powder pattern, CuKα. Input: DFT lattice parameters and positions (PBE).
Intensities are scaled so that the largest is 100.

Peak list (10 most intense, 2θ = 10–90°, most intense first)
2θ/deg	Rel. int.
40.00	100
34.30	76
30.39	50
53.98	36
11.64	28
37.48	28
31.96	27
36.34	23
69.25	19
54.98	19

Cell lengths 3.398, 3.398, 45.596 Å; angles 90.00, 90.00, 120.00 degrees
Sites, in units of the cell vectors:
Mg 0.000 0.000 0.000
Te 0.333 0.667 0.072
Te 0.333 0.667 0.155
Te 0.333 0.667 0.690
Te 0.333 0.667 0.772
Mo 0.333 0.667 0.912
Mo 0.667 0.333 0.731
W 0.333 0.667 0.543
W 0.667 0.333 0.114
Se 0.667 0.333 0.507
Se 0.667 0.333 0.580
S 0.667 0.333 0.880
S 0.667 0.333 0.946

---

# BaSrGa4
Theoretical X-ray powder pattern, CuKα. Input: DFT lattice parameters and positions (PBE).
Intensities are scaled so that the largest is 100.

Peak list (10 most intense, 2θ = 10–90°, most intense first)
2θ/deg	Rel. int.
29.52	100
40.93	40
55.78	32
51.26	21
36.21	19
67.58	18
61.06	12
85.79	9
74.53	7
76.15	6

Cell lengths 4.410, 4.410, 9.922 Å; angles 90.00, 90.00, 120.00 degrees
Sites, in units of the cell vectors:
Ba 0.000 0.000 0.000
Sr 0.000 0.000 0.500
Ga 0.333 0.667 0.254
Ga 0.333 0.667 0.746
Ga 0.667 0.333 0.254
Ga 0.667 0.333 0.746